# DyZn20Rh2
Simulated X-ray diffraction stick pattern, λ = 1.5418 Å (Cu Kα). Input: a cell relaxed with PBE.

```
DyZn20Rh2
1.0
0.000 7.105 7.105
7.105 0.000 7.105
7.105 7.105 0.000
Dy Zn Rh
2 40 4
direct
0.125 0.125 0.125
0.875 0.875 0.875
0.000 0.000 0.000
0.000 0.000 0.500
0.000 0.500 0.000
0.057 0.323 0.323
0.057 0.323 0.797
0.057 0.797 0.323
0.203 0.677 0.677
0.203 0.677 0.943
0.203 0.943 0.677
0.236 0.236 0.514
0.236 0.514 0.236
0.236 0.514 0.514
0.323 0.057 0.323
0.323 0.057 0.797
0.323 0.323 0.057
0.323 0.323 0.797
0.323 0.797 0.057
0.323 0.797 0.323
0.486 0.486 0.764
0.486 0.764 0.486
0.486 0.764 0.764
0.500 0.000 0.000
0.514 0.236 0.236
0.514 0.236 0.514
0.514 0.514 0.236
0.677 0.203 0.677
0.677 0.203 0.943
0.677 0.677 0.203
0.677 0.677 0.943
0.677 0.943 0.203
0.677 0.943 0.677
0.764 0.486 0.486
0.764 0.486 0.764
0.764 0.764 0.486
0.797 0.057 0.323
0.797 0.323 0.057
0.797 0.323 0.323
0.943 0.203 0.677
0.943 0.677 0.203
0.943 0.677 0.677
0.000 0.500 0.500
0.500 0.000 0.500
0.500 0.500 0.000
0.500 0.500 0.500
```

The 6 most intense peaks (15 to 90 degrees two-theta), by angle:
Position (°2θ)	I_rel
37.44	92
40.13	54
41.68	96
42.18	100
54.82	29
75.72	52

# Tm4In3Hg
Simulated X-ray diffraction stick pattern, λ = 1.5418 Å (Cu Kα). Input: a cell relaxed with PBE.

```
Tm4In3Hg
1.0
3.733 0.000 0.000
0.000 4.745 0.000
0.000 0.000 11.862
Tm In Hg
4 3 1
direct
0.000 0.000 0.000
0.000 0.500 0.307
0.500 0.000 0.494
0.500 0.500 0.812
0.000 0.000 0.734
0.000 0.500 0.574
0.500 0.500 0.076
0.500 0.000 0.237
```

The 6 most intense peaks (15 to 90 degrees two-theta), by angle:
Position (°2θ)	I_rel
30.14	21
31.41	100
33.00	30
35.70	48
37.93	33
38.20	40

# Pr2SmDyHo
Simulated X-ray diffraction stick pattern, λ = 1.5418 Å (Cu Kα). Input: a cell relaxed with PBE.

```
Pr2SmDyHo
1.0
8.180 0.000 0.000
0.000 6.814 0.000
-0.010 0.000 6.227
Pr Sm Dy Ho
4 2 2 2
direct
0.197 0.194 0.251
0.197 0.806 0.751
0.803 0.194 0.249
0.803 0.806 0.749
0.500 0.500 0.000
0.500 0.500 0.500
0.500 0.083 0.750
0.500 0.917 0.250
0.000 0.343 0.750
0.000 0.657 0.250
```

The 6 most intense peaks (15 to 90 degrees two-theta), by angle:
Position (°2θ)	I_rel
28.38	40
28.67	30
29.23	100
31.88	54
33.49	46
46.22	34

Please write out number 2 again, unchanged.
# Tm4In3Hg
Simulated X-ray diffraction stick pattern, λ = 1.5418 Å (Cu Kα). Input: a cell relaxed with PBE.

```
Tm4In3Hg
1.0
3.733 0.000 0.000
0.000 4.745 0.000
0.000 0.000 11.862
Tm In Hg
4 3 1
direct
0.000 0.000 0.000
0.000 0.500 0.307
0.500 0.000 0.494
0.500 0.500 0.812
0.000 0.000 0.734
0.000 0.500 0.574
0.500 0.500 0.076
0.500 0.000 0.237
```

The 6 most intense peaks (15 to 90 degrees two-theta), by angle:
Position (°2θ)	I_rel
30.14	21
31.41	100
33.00	30
35.70	48
37.93	33
38.20	40

What did the first record say?
# DyZn20Rh2
Simulated X-ray diffraction stick pattern, λ = 1.5418 Å (Cu Kα). Input: a cell relaxed with PBE.

```
DyZn20Rh2
1.0
0.000 7.105 7.105
7.105 0.000 7.105
7.105 7.105 0.000
Dy Zn Rh
2 40 4
direct
0.125 0.125 0.125
0.875 0.875 0.875
0.000 0.000 0.000
0.000 0.000 0.500
0.000 0.500 0.000
0.057 0.323 0.323
0.057 0.323 0.797
0.057 0.797 0.323
0.203 0.677 0.677
0.203 0.677 0.943
0.203 0.943 0.677
0.236 0.236 0.514
0.236 0.514 0.236
0.236 0.514 0.514
0.323 0.057 0.323
0.323 0.057 0.797
0.323 0.323 0.057
0.323 0.323 0.797
0.323 0.797 0.057
0.323 0.797 0.323
0.486 0.486 0.764
0.486 0.764 0.486
0.486 0.764 0.764
0.500 0.000 0.000
0.514 0.236 0.236
0.514 0.236 0.514
0.514 0.514 0.236
0.677 0.203 0.677
0.677 0.203 0.943
0.677 0.677 0.203
0.677 0.677 0.943
0.677 0.943 0.203
0.677 0.943 0.677
0.764 0.486 0.486
0.764 0.486 0.764
0.764 0.764 0.486
0.797 0.057 0.323
0.797 0.323 0.057
0.797 0.323 0.323
0.943 0.203 0.677
0.943 0.677 0.203
0.943 0.677 0.677
0.000 0.500 0.500
0.500 0.000 0.500
0.500 0.500 0.000
0.500 0.500 0.500
```

The 6 most intense peaks (15 to 90 degrees two-theta), by angle:
Position (°2θ)	I_rel
37.44	92
40.13	54
41.68	96
42.18	100
54.82	29
75.72	52